Starting from a crystal structure in OQMD, relaxed with GGA-PBE, the X-ray diffraction stick pattern of GaNi9 was simulated for a wavelength of 1.5418 Å.
Kinematic intensities with the Lorentz-polarization factor, no thermal factor.

Principal peaks in the range 10 to 90 degrees two-theta, sorted by position:
Position (°2θ), intensity
43.71, 49
44.67, 100
45.72, 53
50.97, 31
52.49, 30
52.76, 34
76.18, 17
76.33, 9
76.48, 7
77.63, 19

Atomic structure:
```
GaNi9
1.0
2.4956 0.0000 0.0000
0.0000 3.4875 0.0000
0.0000 0.0000 38.6123
Ga Ni
2 18
Cartesian
0.6239 0.8719 7.5025 Ga
1.8717 2.6156 31.1099 Ga
0.6239 0.8719 10.0419 Ni
0.6239 0.8719 12.4850 Ni
0.6239 0.8719 14.9754 Ni
0.6239 0.8719 17.4472 Ni
0.6239 0.8719 19.9151 Ni
0.6239 0.8719 22.4157 Ni
0.6239 0.8719 24.8838 Ni
0.6239 0.8719 27.3720 Ni
0.6239 0.8719 29.8985 Ni
1.8717 2.6156 8.7138 Ni
1.8717 2.6156 11.2403 Ni
1.8717 2.6156 13.7285 Ni
1.8717 2.6156 16.1966 Ni
1.8717 2.6156 18.6973 Ni
1.8717 2.6156 21.1652 Ni
1.8717 2.6156 23.6369 Ni
1.8717 2.6156 26.1274 Ni
1.8717 2.6156 28.5704 Ni
```



Starting from a crystal structure in OQMD, relaxed with GGA-PBE, the X-ray diffraction stick pattern of GaNi8 was simulated for a wavelength of 1.5418 Å.
Kinematic intensities with the Lorentz-polarization factor, no thermal factor.

Principal peaks in the range 10 to 90 degrees two-theta, sorted by position:
Position (°2θ), intensity
42.81, 39
44.55, 44
45.39, 100
48.07, 10
50.86, 18
52.19, 17
52.55, 17
52.65, 14
53.98, 11
76.14, 12

Atomic structure:
```
GaNi8
1.0
3.8949 -1.7416 0.0000
3.8949 1.7416 0.0000
-0.0665 0.0000 28.2855
Ga Ni
2 16
Cartesian
0.3868 0.0000 7.4660 Ga
7.3364 0.0000 20.8195 Ga
0.3499 0.0000 15.3192 Ni
1.1326 0.0000 17.6774 Ni
1.1575 0.0000 9.8272 Ni
1.9262 0.0000 12.1881 Ni
1.9068 0.0000 20.0855 Ni
2.6929 0.0000 14.5400 Ni
3.4663 0.0000 8.9824 Ni
3.4678 0.0000 16.9025 Ni
4.2554 0.0000 11.3830 Ni
4.2569 0.0000 19.3031 Ni
5.0303 0.0000 13.7455 Ni
5.8164 0.0000 8.2000 Ni
5.7970 0.0000 16.0974 Ni
6.5657 0.0000 18.4583 Ni
6.5906 0.0000 10.6081 Ni
7.3733 0.0000 12.9662 Ni
```



Starting from a crystal structure in OQMD, relaxed with GGA-PBE, the X-ray diffraction stick pattern of GaNi9 was simulated for a wavelength of 1.5418 Å.
Kinematic intensities with the Lorentz-polarization factor, no thermal factor.

Principal peaks in the range 10 to 90 degrees two-theta, sorted by position:
Position (°2θ), intensity
11.13, 5
42.58, 6
43.67, 35
44.83, 100
51.46, 43
51.75, 10
53.82, 11
75.74, 12
75.98, 11
77.67, 13

Atomic structure:
```
GaNi9
1.0
2.5118 0.0000 0.0000
0.0000 2.5118 0.0000
0.0000 0.0000 47.6954
Ga Ni
2 18
Cartesian
0.6280 0.6280 7.3208 Ga
1.8839 1.8839 40.3747 Ga
0.6280 0.6280 10.9110 Ni
0.6280 0.6280 14.3443 Ni
0.6280 0.6280 17.7863 Ni
0.6280 0.6280 21.2507 Ni
0.6280 0.6280 24.7153 Ni
0.6280 0.6280 28.1612 Ni
0.6280 0.6280 31.6369 Ni
0.6280 0.6280 35.0896 Ni
0.6280 0.6280 38.5124 Ni
1.8839 1.8839 9.1830 Ni
1.8839 1.8839 12.6059 Ni
1.8839 1.8839 16.0586 Ni
1.8839 1.8839 19.5343 Ni
1.8839 1.8839 22.9802 Ni
1.8839 1.8839 26.4447 Ni
1.8839 1.8839 29.9091 Ni
1.8839 1.8839 33.3512 Ni
1.8839 1.8839 36.7845 Ni
```